Calculated powder X-ray diffraction pattern of Ba3P2I for Cu Kα, from a DFT-relaxed cell (GGA-PBE, Alexandria).
Neutral-atom scattering factors, no anomalous dispersion.

Atomic structure:
```
data_Ba3P2I
_chemical_formula_sum 'Ba6 P4 I2'
_cell_length_a 8.6104
_cell_length_b 8.6104
_cell_length_c 7.8632
_cell_angle_alpha 90.00
_cell_angle_beta 90.00
_cell_angle_gamma 120.00
_symmetry_space_group_name_H-M 'P 63/m c m'
_symmetry_Int_Tables_number 193
_symmetry_space_group_name_Hall '-P 6c 2'
loop_
_atom_site_label
_atom_site_fract_x
_atom_site_fract_y
_atom_site_fract_z
Ba1 0.0000 0.3974 0.2500
P1 0.3333 0.6667 0.0000
I1 0.0000 0.0000 0.2500
```

Principal peaks in the range 2θ from 10° to 80°, in order of falling intensity:
index, Position (°2θ), I (rel.)
1 1 1, 23.6, 100
2 0 2, 33.1, 67
2 0 0, 23.9, 53
0 0 2, 22.6, 47
3 0 0, 36.1, 34
3 1 1, 45.3, 31
2 1 1, 33.8, 28
3 2 2, 58.9, 26
1 1 3, 40.3, 24
3 0 2, 43.1, 21